[1]
For Cu2SCl8, a cell relaxed with PBE gives the computed X-ray diffraction stick pattern in this record (λ = 1.5418 Å (Cu Kα)).

The 6 most intense peaks (2θ = 15–90°), low angle first:
2θ (°), I_rel
16.51, 100
17.71, 42
21.71, 38
24.71, 81
25.04, 45
31.68, 56

Atomic structure:
abc: 6.8600 6.8600 7.8582
angles: 102.06 102.06 73.26
Sites, in units of the cell vectors:
Cu 0.2248 0.2248 0.3693
Cu 0.7752 0.7752 0.6307
S 0.0000 0.0000 0.0000
Cl 0.0674 0.6687 0.8480
Cl 0.1328 0.1328 0.5797
Cl 0.3313 0.9326 0.1520
Cl 0.4206 0.4206 0.3683
Cl 0.5794 0.5794 0.6317
Cl 0.6687 0.0674 0.8480
Cl 0.8672 0.8672 0.4203
Cl 0.9326 0.3313 0.1520


[2]
For CuS5Cl, a cell relaxed with PBE gives the computed X-ray diffraction stick pattern in this record (λ = 1.5418 Å (Cu Kα)).

The 6 most intense peaks (2θ = 15–90°), low angle first:
2θ (°), I_rel
17.38, 29
17.99, 100
21.57, 80
25.06, 42
38.41, 21
55.65, 21

Atomic structure:
abc: 10.3365 10.3365 4.3095
angles: 98.99 98.99 145.14
Sites, in units of the cell vectors:
Cu 0.0000 0.0000 0.0000
S 0.3527 0.4365 0.2346
S 0.5635 0.6473 0.7654
S 0.6335 0.0862 0.2283
S 0.7091 0.2909 0.0000
S 0.9138 0.3665 0.7717
Cl 0.0456 0.9544 0.5000